Calculated powder XRD pattern
Compound: Rb2ThAuS4
Radiation: Cu Kα (weighted mean of Kα1 and Kα2)
Structure: a cell relaxed with GGA-PBE
Neutral-atom scattering factors, no anomalous dispersion.

Main lines, sorted by position (2θ = 10–90°):
| two_theta | I (rel.) |
| --- | --- |
| 15.54 | 41 |
| 23.09 | 47 |
| 26.63 | 100 |
| 32.89 | 35 |
| 42.81 | 57 |
| 49.01 | 21 |
| 53.18 | 15 |
| 55.01 | 13 |
| 65.60 | 16 |
| 70.41 | 13 |

Structure:
Cell lengths 7.7025, 7.7025, 8.4879 Å; angles 90.00, 90.00, 90.00 degrees
Space group I-4 (No. 82)
Symmetry-distinct sites (fractional):
Rb1 0.0000 0.0000 0.0000 [2 per cell]
Rb2 0.0000 0.5000 0.2500 [2 per cell]
Th1 0.0000 0.0000 0.5000 [2 per cell]
Au1 0.0000 0.5000 0.7500 [2 per cell]
S1 0.1666 0.7628 0.6724 [8 per cell]